The following is a computed powder diffractogram of KSmH2S2O9. It was derived from a crystal structure in OQMD, relaxed with GGA-PBE, using λ = 1.5418 Å (Cu Kα).
No peak broadening, texture or thermal motion is included.

Peak list (10 most intense, 10 to 90 degrees two-theta, in order of rising 2θ)
| hkl | d [Å] | 2θ/deg | I (rel.) |
| --- | --- | --- | --- |
| 0 1 1 | 6.014 | 14.73 | 71 |
| 1 1 0 | 5.970 | 14.84 | 100 |
| 2 0 -2 | 4.294 | 20.68 | 30 |
| 0 2 0 | 4.074 | 21.82 | 21 |
| 1 0 2 | 3.382 | 26.35 | 24 |
| 1 2 1 | 3.196 | 27.91 | 58 |
| 1 1 2 | 3.124 | 28.57 | 44 |
| 3 1 -2 | 3.013 | 29.65 | 68 |
| 0 3 1 | 2.598 | 34.52 | 27 |
| 4 0 -4 | 2.149 | 42.04 | 25 |

Atomic structure:
Unit cell a=9.942 b=8.148 c=10.104 alpha=90.00 beta=118.09 gamma=90.00
Element x y z (fractional)
K: 0.210 0.179 0.184
K: 0.210 0.321 0.684
K: 0.790 0.679 0.316
K: 0.790 0.821 0.816
Sm: 0.267 0.662 0.041
Sm: 0.267 0.838 0.541
Sm: 0.733 0.162 0.459
Sm: 0.733 0.338 0.959
H: 0.272 0.511 0.422
H: 0.272 0.989 0.922
H: 0.404 0.011 0.089
H: 0.404 0.489 0.589
H: 0.596 0.511 0.411
H: 0.596 0.989 0.911
H: 0.728 0.011 0.078
H: 0.728 0.489 0.578
S: 0.046 0.634 0.180
S: 0.046 0.866 0.680
S: 0.485 0.693 0.899
S: 0.485 0.807 0.399
S: 0.515 0.193 0.601
S: 0.515 0.307 0.101
S: 0.954 0.134 0.320
S: 0.954 0.366 0.820
O: 0.054 0.742 0.575
O: 0.054 0.758 0.075
O: 0.064 0.713 0.318
O: 0.064 0.787 0.818
O: 0.103 0.051 0.392
O: 0.103 0.449 0.892
O: 0.175 0.517 0.215
O: 0.175 0.983 0.715
O: 0.301 0.539 0.527
O: 0.301 0.961 0.027
O: 0.334 0.610 0.838
O: 0.334 0.890 0.338
O: 0.399 0.089 0.612
O: 0.399 0.411 0.112
O: 0.466 0.659 0.304
O: 0.466 0.841 0.804
O: 0.471 0.241 0.445
O: 0.471 0.259 0.945
O: 0.529 0.741 0.055
O: 0.529 0.759 0.555
O: 0.534 0.159 0.196
O: 0.534 0.341 0.696
O: 0.601 0.589 0.888
O: 0.601 0.911 0.388
O: 0.666 0.110 0.662
O: 0.666 0.390 0.162
O: 0.699 0.039 0.973
O: 0.699 0.461 0.473
O: 0.825 0.017 0.285
O: 0.825 0.483 0.785
O: 0.897 0.551 0.108
O: 0.897 0.949 0.608
O: 0.936 0.213 0.182
O: 0.936 0.287 0.682
O: 0.946 0.242 0.925
O: 0.946 0.258 0.425